Record 1
This entry pairs a crystal structure of YP2F with its simulated XRD peak list. Radiation: Cu Kα. Structure: the GGA-PBE geometry in Alexandria.
Kinematic intensities with the Lorentz-polarization factor, no thermal factor.

Structural model:
a b c (Å): 3.5040 3.5040 21.3588
angles (deg): 90.00 90.00 90.00
Atoms (fractional coordinates):
Y: 0.0000 0.0000 0.0000
Y: 0.0000 0.5000 0.2500
Y: 0.5000 0.0000 0.7500
Y: 0.5000 0.5000 0.5000
P: 0.2073 0.2500 0.6250
P: 0.2500 0.7073 0.8750
P: 0.2500 0.7927 0.3750
P: 0.2927 0.2500 0.1250
P: 0.7073 0.7500 0.1250
P: 0.7500 0.2073 0.3750
P: 0.7500 0.2927 0.8750
P: 0.7927 0.7500 0.6250
F: 0.0000 0.0000 0.5000
F: 0.0000 0.5000 0.7500
F: 0.5000 0.0000 0.2500
F: 0.5000 0.5000 0.0000

Principal peaks in the range 10 to 80 degrees two-theta, low angle first:
| h k l | 2theta | I (rel.) |
| --- | --- | --- |
| 0 0 4 | 16.60 | 26 |
| 1 0 1 | 25.76 | 29 |
| 1 0 3 | 28.39 | 45 |
| 1 0 5 | 33.06 | 30 |
| 0 0 8 | 33.57 | 64 |
| 1 1 2 | 37.25 | 100 |
| 1 1 6 | 44.55 | 58 |
| 2 0 4 | 55.17 | 53 |
| 1 1 10 | 56.92 | 27 |
| 2 0 12 | 76.26 | 19 |



Record 2
This entry pairs a crystal structure of Pa2F13 with its simulated XRD peak list. Radiation: Cu Kα. Structure: the GGA-PBE geometry in Alexandria.
Kinematic intensities with the Lorentz-polarization factor, no thermal factor.

Structural model:
a b c (Å): 5.3678 6.6317 6.8500
angles (deg): 71.42 81.38 80.02
Atoms (fractional coordinates):
Pa: 0.1945 0.0993 0.1673
Pa: 0.8055 0.9007 0.8327
F: 0.0000 0.0000 0.5000
F: 0.0471 0.1417 0.8359
F: 0.1338 0.6900 0.8590
F: 0.3137 0.3479 0.2215
F: 0.3699 0.5192 0.5375
F: 0.4750 0.8131 0.0897
F: 0.4984 0.0641 0.6129
F: 0.5016 0.9359 0.3871
F: 0.5250 0.1869 0.9103
F: 0.6301 0.4808 0.4625
F: 0.6863 0.6521 0.7785
F: 0.8662 0.3100 0.1410
F: 0.9529 0.8583 0.1641

Principal peaks in the range 10 to 80 degrees two-theta, low angle first:
| h k l | 2theta | I (rel.) |
| --- | --- | --- |
| 0 0 1 | 13.71 | 35 |
| 0 1 0 | 14.22 | 100 |
| 1 0 1 | 20.66 | 21 |
| 1 1 1 | 21.17 | 55 |
| 0 1 -1 | 22.61 | 41 |
| 1 0 -1 | 22.86 | 53 |
| 1 -1 0 | 23.55 | 33 |
| 0 1 2 | 27.01 | 25 |
| 1 0 2 | 30.99 | 24 |
| 0 0 3 | 41.93 | 25 |